Diffraction record for FeRe2PbO8. The X-ray diffraction stick pattern is computed, not measured: it uses a DFT-relaxed cell (GGA+U, Alexandria) and Cu Kα.

Main lines, low angle first (10 to 90 degrees two-theta):
2theta  intensity
22.6  100.0
25.1  11.9
30.8  43.0
33.7  23.0
38.6  16.4
45.1  8.3
46.3  14.4
50.1  23.6
54.0  13.3
54.7  8.8
56.6  11.0
68.9  9.0

Cell and atoms:
```
FeRe2PbO8
1.0
2.904 1.677 8.371
-2.904 1.677 8.371
0.000 -3.354 8.371
Fe Re Pb O
1 2 1 8
Cartesian
0.000 0.000 0.000
0.000 0.000 6.537
0.000 0.000 18.577
0.000 0.000 12.557
0.000 -1.657 7.141
-1.435 0.828 7.141
0.000 0.000 4.775
-1.435 -0.828 17.973
1.435 0.828 7.141
0.000 0.000 20.339
1.435 -0.828 17.973
0.000 1.657 17.973
```